Diffraction record for UH12Cl3O6. The X-ray diffraction stick pattern is computed, not measured: it uses a cell relaxed with GGA-PBE and a wavelength of 1.5418 Å.

Most intense lines, 5° ≤ 2θ ≤ 70°, in order of rising 2θ:
(hkl)	d_spacing	2theta	I/Imax
1 0 0	6.378	13.88	100
1 0 -2	6.049	14.64	97
0 1 1	5.520	16.05	84
1 1 -1	5.141	17.25	77
0 0 2	4.888	18.15	56
1 1 -2	4.486	19.79	40
2 0 -2	4.017	22.13	58
1 1 1	3.605	24.70	72
1 1 -3	3.483	25.58	64
0 2 1	3.164	28.20	42

Structure:
```
44
Lattice="8.046 0.000 0.000 0.000 6.689 0.000 -7.517 0.000 9.776" Properties=species:S:1:pos:R:3 pbc="T T T"
U -1.879 1.006 2.444
U -5.638 5.683 7.332
H -6.450 2.976 8.664
H -2.692 3.713 3.776
H 0.270 3.205 1.779
H -3.488 3.484 6.667
H 1.016 0.604 1.288
H -2.742 6.085 6.176
H -2.864 0.584 7.201
H 0.895 6.105 2.314
H -0.991 2.226 5.242
H 2.767 4.464 0.355
H 0.328 1.708 4.570
H -3.430 4.981 9.458
H 3.959 1.708 0.318
H 0.201 4.981 5.206
H -2.238 2.226 9.421
H 1.520 4.464 4.533
H -0.366 0.584 7.462
H 3.393 6.105 2.574
H 3.271 0.604 3.600
H -0.487 6.085 8.488
H 4.017 3.205 3.109
H 0.259 3.484 7.997
H 3.221 2.976 6.000
H 6.979 3.713 1.112
Cl -5.468 1.180 9.255
Cl -1.709 5.509 4.367
Cl -1.615 2.459 7.332
Cl 2.144 4.230 2.444
Cl 2.238 1.180 5.408
Cl 5.997 5.509 0.521
O -0.601 2.894 1.429
O -4.359 3.795 6.317
O 0.515 0.298 2.089
O -3.244 6.391 6.977
O -0.606 1.972 4.368
O -4.365 4.718 9.256
O 4.894 1.972 0.520
O 1.135 4.718 5.408
O 3.773 0.298 2.798
O 0.014 6.391 7.686
O 4.888 2.894 3.458
O 1.130 3.795 8.346
```